No. 1
Simulated powder X-ray diffraction pattern of RbAl6Ag8 for Cu Ka, from a crystal structure in Alexandria, relaxed with GGA-PBE.
Kinematic intensities with the Lorentz-polarization factor, no thermal factor.

Peak list (8 most intense, 10 to 90 degrees two-theta, by angle)
d = 5.003 Å, intensity 44
d = 3.208 Å, intensity 77
d = 2.413 Å, intensity 100
d = 2.174 Å, intensity 56
d = 2.147 Å, intensity 65
d = 1.928 Å, intensity 25
d = 1.506 Å, intensity 21
d = 1.336 Å, intensity 21

Cell and atoms:
Lattice parameters (Å, degrees): 6.9517 6.9517 6.9517 73.92 73.92 73.92
Atoms (fractional coordinates):
Rb: 0.0000 0.0000 0.0000
Al: 0.1738 0.3737 0.5631
Al: 0.3737 0.5631 0.1738
Al: 0.4369 0.8262 0.6263
Al: 0.5631 0.1738 0.3737
Al: 0.6263 0.4369 0.8262
Al: 0.8262 0.6263 0.4369
Ag: 0.1381 0.7942 0.4600
Ag: 0.2058 0.5400 0.8619
Ag: 0.2214 0.2214 0.2214
Ag: 0.4600 0.1381 0.7942
Ag: 0.5400 0.8619 0.2058
Ag: 0.7786 0.7786 0.7786
Ag: 0.7942 0.4600 0.1381
Ag: 0.8619 0.2058 0.5400

No. 2
Simulated powder X-ray diffraction pattern of PmAl2Pd2Pt for Cu Ka, from a crystal structure in Alexandria, relaxed with GGA-PBE.
Kinematic intensities with the Lorentz-polarization factor, no thermal factor.

Peak list (8 most intense, 10 to 90 degrees two-theta, by angle)
d = 3.313 Å, intensity 96
d = 2.409 Å, intensity 100
d = 2.343 Å, intensity 56
d = 1.680 Å, intensity 66
d = 1.657 Å, intensity 19
d = 1.482 Å, intensity 18
d = 1.365 Å, intensity 17
d = 1.179 Å, intensity 21

Cell and atoms:
Lattice parameters (Å, degrees): 4.6857 4.6857 5.6188 90.00 90.00 90.00
Atoms (fractional coordinates):
Pm: 0.0000 0.0000 0.0000
Al: 0.0000 0.5000 0.5000
Al: 0.5000 0.0000 0.5000
Pd: 0.5000 0.5000 0.2446
Pd: 0.5000 0.5000 0.7554
Pt: 0.0000 0.0000 0.5000

No. 3
Simulated powder X-ray diffraction pattern of Nd4In2Sn for Cu Ka, from a crystal structure in Alexandria, relaxed with GGA-PBE.
Kinematic intensities with the Lorentz-polarization factor, no thermal factor.

Peak list (8 most intense, 10 to 90 degrees two-theta, by angle)
d = 3.039 Å, intensity 94
d = 3.033 Å, intensity 48
d = 2.567 Å, intensity 100
d = 1.960 Å, intensity 26
d = 1.882 Å, intensity 21
d = 1.561 Å, intensity 13
d = 1.557 Å, intensity 25
d = 1.483 Å, intensity 14

Cell and atoms:
Lattice parameters (Å, degrees): 8.3169 8.3169 8.3169 109.57 109.57 109.26
Atoms (fractional coordinates):
Nd: 0.1275 0.5226 0.7496
Nd: 0.1278 0.0229 0.7504
Nd: 0.2726 0.3775 0.2496
Nd: 0.4774 0.2271 0.6049
Nd: 0.6222 0.8725 0.3951
Nd: 0.6225 0.8722 0.8951
Nd: 0.7729 0.3778 0.2504
Nd: 0.9771 0.7274 0.1049
In: 0.3750 0.0033 0.1283
In: 0.7533 0.6250 0.6283
In: 0.8750 0.2467 0.8717
In: 0.9967 0.1250 0.3717
Sn: 0.2500 0.7500 0.5000
Sn: 0.5000 0.5000 0.0000

No. 4
Simulated powder X-ray diffraction pattern of AcTl2Pb3 for Cu Ka, from a crystal structure in Alexandria, relaxed with GGA-PBE.
Kinematic intensities with the Lorentz-polarization factor, no thermal factor.

Peak list (8 most intense, 10 to 90 degrees two-theta, by angle)
d = 2.857 Å, intensity 100
d = 2.848 Å, intensity 48
d = 2.833 Å, intensity 48
d = 2.781 Å, intensity 92
d = 2.009 Å, intensity 33
d = 1.977 Å, intensity 16
d = 1.661 Å, intensity 19
d = 1.617 Å, intensity 17

Cell and atoms:
Lattice parameters (Å, degrees): 6.6770 6.6770 9.5756 90.13 90.13 116.14
Atoms (fractional coordinates):
Ac: 0.1236 0.8764 0.7500
Ac: 0.8764 0.1236 0.2500
Tl: 0.0479 0.3271 0.9030
Tl: 0.3271 0.0479 0.4030
Tl: 0.6729 0.9521 0.5970
Tl: 0.9521 0.6729 0.0970
Pb: 0.1913 0.4249 0.5717
Pb: 0.3947 0.6053 0.2500
Pb: 0.4249 0.1913 0.0717
Pb: 0.5751 0.8087 0.9283
Pb: 0.6053 0.3947 0.7500
Pb: 0.8087 0.5751 0.4283

No. 5
Simulated powder X-ray diffraction pattern of DyTmMgZn for Cu Ka, from a crystal structure in Alexandria, relaxed with GGA-PBE.
Kinematic intensities with the Lorentz-polarization factor, no thermal factor.

Peak list (8 most intense, 10 to 90 degrees two-theta, by angle)
d = 7.858 Å, intensity 22
d = 3.929 Å, intensity 19
d = 3.545 Å, intensity 35
d = 2.632 Å, intensity 100
d = 2.507 Å, intensity 48
d = 2.107 Å, intensity 15
d = 1.772 Å, intensity 17
d = 1.470 Å, intensity 33

Cell and atoms:
Lattice parameters (Å, degrees): 3.5449 3.5449 7.8584 90.00 90.00 90.00
Atoms (fractional coordinates):
Dy: 0.0000 0.0000 0.0000
Tm: 0.0000 0.0000 0.4427
Mg: 0.5000 0.5000 0.7176
Zn: 0.5000 0.5000 0.2278

No. 6
Simulated powder X-ray diffraction pattern of Tb3Nd2Y4 for Cu Ka, from a crystal structure in Alexandria, relaxed with GGA-PBE.
Kinematic intensities with the Lorentz-polarization factor, no thermal factor.

Peak list (8 most intense, 10 to 90 degrees two-theta, by angle)
d = 3.207 Å, intensity 43
d = 2.906 Å, intensity 100
d = 2.739 Å, intensity 39
d = 2.729 Å, intensity 55
d = 2.514 Å, intensity 41
d = 2.377 Å, intensity 21
d = 1.743 Å, intensity 22
d = 1.513 Å, intensity 28

Cell and atoms:
Lattice parameters (Å, degrees): 9.1609 9.1609 9.7049 104.12 104.12 22.31
Atoms (fractional coordinates):
Tb: 0.0000 0.0000 0.0000
Tb: 0.1699 0.1699 0.9000
Tb: 0.8301 0.8301 0.1000
Nd: 0.3401 0.3401 0.7886
Nd: 0.6599 0.6599 0.2114
Y: 0.1533 0.1533 0.5288
Y: 0.4873 0.4873 0.3208
Y: 0.5127 0.5127 0.6792
Y: 0.8467 0.8467 0.4712